(1)
This entry pairs a crystal structure of Tb2HfGe3Ir4 with its theoretical PXRD pattern. Radiation: λ = 1.5418 Å (Cu Kα). Structure: DFT lattice parameters and positions (PBE).
Lines closer than 0.1° are merged.

Structural model:
a b c (Å): 4.137 4.137 10.998
angles (deg): 90.00 90.00 90.00
Space group P-4m2 (No. 115)
Inequivalent atoms, fractional coordinates:
Tb  0.000  0.500  0.231 x2
Hf  0.000  0.000  0.500 x1
Ge  0.000  0.500  0.873 x2
Ge  0.500  0.500  0.500 x1
Ir  0.000  0.000  0.000 x1
Ir  0.000  0.500  0.649 x2
Ir  0.500  0.500  0.000 x1

Principal peaks in the range 10 to 90 degrees two-theta, in order of rising 2θ:
2θ/deg	intensity	(hkl)
26.97	155	1 0 2
32.62	350	1 0 3
34.73	1000	1 1 2
39.35	87	1 0 4
43.76	516	2 0 0
45.26	283	1 1 4
46.77	227	1 0 5
55.63	179	2 1 3
63.61	171	2 2 0
65.98	163	2 1 5
74.56	221	3 1 2
81.47	104	3 1 4



(2)
This entry pairs a crystal structure of Tl4CdIn7 with its theoretical PXRD pattern. Radiation: λ = 1.5418 Å (Cu Kα). Structure: DFT lattice parameters and positions (PBE).
Lines closer than 0.1° are merged.

Structural model:
a b c (Å): 3.4042 3.4042 33.4165
angles (deg): 90.00 90.00 120.00
Space group P-3m1 (No. 164)
Inequivalent atoms, fractional coordinates:
Tl  0.3333  0.6667  0.1623 x2
Tl  0.3333  0.6667  0.4146 x2
Cd  0.0000  0.0000  0.0000 x1
In  0.0000  0.0000  0.2483 x2
In  0.0000  0.0000  0.5000 x1
In  0.3333  0.6667  0.6706 x2
In  0.3333  0.6667  0.9230 x2

Principal peaks in the range 10 to 90 degrees two-theta, in order of rising 2θ:
2θ/deg	intensity	(hkl)
10.59	28	0 0 4
13.25	26	0 0 5
30.44	23	0 1 1
32.19	1000	1 0 4
37.33	500	0 1 8
53.83	331	1 1 0
64.12	385	0 2 4
67.24	22	0 0 24
67.37	87	2 0 8
79.60	49	0 2 16
88.40	65	2 0 20
88.52	103	2 1 4



(3)
This entry pairs a crystal structure of ErGa5Co2 with its theoretical PXRD pattern. Radiation: λ = 1.5418 Å (Cu Kα). Structure: DFT lattice parameters and positions (PBE).
Lines closer than 0.1° are merged.

Structural model:
a b c (Å): 3.834 7.024 9.644
angles (deg): 90.00 90.00 90.00
Space group Immm (No. 71)
Inequivalent atoms, fractional coordinates:
Er  0.000  0.000  0.000 x2
Ga  0.000  0.197  0.346 x8
Ga  0.000  0.500  0.000 x2
Co  0.000  0.500  0.240 x4

Principal peaks in the range 10 to 90 degrees two-theta, in order of rising 2θ:
2θ/deg	intensity	(hkl)
30.58	229	0 1 3
31.51	192	0 2 2
32.44	303	1 1 2
35.91	1000	1 2 1
36.48	841	1 0 3
39.61	133	0 3 1
45.39	136	1 3 0
45.64	499	0 2 4
47.43	338	2 0 0
49.37	253	1 3 2
59.78	144	1 2 5
67.94	292	2 2 4



(4)
This entry pairs a crystal structure of Pr5Nd2Er4 with its theoretical PXRD pattern. Radiation: λ = 1.5418 Å (Cu Kα). Structure: DFT lattice parameters and positions (PBE).
Lines closer than 0.1° are merged.

Structural model:
a b c (Å): 3.560 9.237 23.692
angles (deg): 90.00 90.00 90.00
Space group Immm (No. 71)
Inequivalent atoms, fractional coordinates:
Pr  0.000  0.000  0.000 x2
Pr  0.000  0.300  0.357 x8
Nd  0.000  0.500  0.232 x4
Er  0.000  0.184  0.500 x4
Er  0.000  0.500  0.096 x4

Principal peaks in the range 10 to 90 degrees two-theta, in order of rising 2θ:
2θ/deg	intensity	(hkl)
10.28	264	0 1 1
26.84	234	1 1 0
27.90	361	1 1 2
29.77	524	0 2 6
30.18	334	0 0 8
31.18	647	0 3 3
31.97	1000	1 2 1
35.31	388	1 1 6
36.64	480	1 0 7
41.68	300	1 3 4
60.48	305	1 2 13
61.27	296	2 3 3



(5)
This entry pairs a crystal structure of Sm2Ga2Fe15 with its theoretical PXRD pattern. Radiation: λ = 1.5418 Å (Cu Kα). Structure: DFT lattice parameters and positions (PBE).
Lines closer than 0.1° are merged.

Structural model:
a b c (Å): 9.663 8.486 6.497
angles (deg): 90.00 98.92 90.00
Space group Cm (No. 8)
Inequivalent atoms, fractional coordinates:
Sm  0.000  0.000  0.000 x2
Sm  0.179  0.500  0.320 x2
Ga  0.432  0.249  0.320 x4
Fe  0.085  0.252  0.667 x4
Fe  0.178  0.500  0.820 x2
Fe  0.191  0.143  0.380 x4
Fe  0.240  0.000  0.762 x2
Fe  0.242  0.249  0.002 x4
Fe  0.331  0.000  0.162 x2
Fe  0.336  0.294  0.666 x4
Fe  0.431  0.000  0.571 x2
Fe  0.480  0.144  0.952 x4
Fe  0.496  0.500  0.524 x2

Principal peaks in the range 10 to 90 degrees two-theta, in order of rising 2θ:
2θ/deg	intensity	(hkl)
29.88	243	1 1 -2
29.99	241	3 1 0
30.12	315	2 2 -1
36.53	498	1 3 1
37.75	534	2 2 -2
42.07	862	2 2 2
42.24	338	0 0 3
42.41	330	4 0 1
42.66	1000	0 4 0
42.77	618	3 3 0
43.62	710	4 0 -2
77.64	237	2 6 2



(6)
This entry pairs a crystal structure of Ba3Sr2Zn2Ga4 with its theoretical PXRD pattern. Radiation: λ = 1.5418 Å (Cu Kα). Structure: DFT lattice parameters and positions (PBE).
Lines closer than 0.1° are merged.

Structural model:
a b c (Å): 4.4374 4.4374 22.7684
angles (deg): 90.00 90.00 120.00
Space group P-3m1 (No. 164)
Inequivalent atoms, fractional coordinates:
Ba  0.0000  0.0000  0.0000 x1
Ba  0.0000  0.0000  0.2240 x2
Sr  0.3333  0.6667  0.5808 x2
Zn  0.3333  0.6667  0.1130 x2
Ga  0.3333  0.6667  0.3316 x2
Ga  0.3333  0.6667  0.8880 x2

Principal peaks in the range 10 to 90 degrees two-theta, in order of rising 2θ:
2θ/deg	intensity	(hkl)
23.47	161	0 1 1
28.02	1000	0 1 4
30.44	484	1 0 5
35.48	178	0 0 9
36.18	96	1 0 7
40.67	507	1 1 0
50.11	196	2 0 4
51.63	107	0 2 5
55.05	294	1 1 9
57.87	157	0 1 13
66.43	167	1 2 4
67.71	94	2 1 5